No. 1
This entry pairs a crystal structure of Ag15Ge with its simulated X-ray diffraction stick pattern. Radiation: Cu Kα (weighted mean of Kα1 and Kα2). Structure: a DFT-relaxed cell (GGA-PBE, OQMD).
No peak broadening, texture or thermal motion is included.

Structure:
Unit cell a=5.8366 b=4.1370 c=37.4991 alpha=90.00 beta=90.54 gamma=90.00
Space group P2_1/m (No. 11)
Asymmetric unit:
Ag 0.1222 0.2500 0.2411 (multiplicity 2)
Ag 0.1242 0.2500 0.4015 (multiplicity 2)
Ag 0.1250 0.2500 0.5590 (multiplicity 2)
Ag 0.1249 0.2500 0.6382 (multiplicity 2)
Ag 0.1253 0.2500 0.7168 (multiplicity 2)
Ag 0.1262 0.2500 0.3224 (multiplicity 2)
Ag 0.1255 0.2500 0.4803 (multiplicity 2)
Ag 0.3715 0.7500 0.7589 (multiplicity 2)
Ag 0.3744 0.7500 0.2054 (multiplicity 2)
Ag 0.3743 0.7500 0.5983 (multiplicity 2)
Ag 0.3752 0.7500 0.2828 (multiplicity 2)
Ag 0.3749 0.7500 0.3620 (multiplicity 2)
Ag 0.3749 0.7500 0.4406 (multiplicity 2)
Ag 0.3754 0.7500 0.5196 (multiplicity 2)
Ag 0.3764 0.7500 0.6774 (multiplicity 2)
Ge 0.1234 0.2500 0.7921 (multiplicity 2)

Principal peaks in the range 10 to 90 degrees two-theta, by angle:
d_spacing	I (rel.)	hkl
2.493	43	0 1 12
2.383	100	2 1 0
2.366	62	0 1 13
2.142	16	2 0 -12
2.123	13	2 0 12
2.068	32	0 2 0
2.061	19	2 0 -13
2.042	19	2 0 13
1.460	20	4 0 0
1.453	12	2 2 13

No. 2
This entry pairs a crystal structure of Ag17Ge with its simulated X-ray diffraction stick pattern. Radiation: Cu Kα (weighted mean of Kα1 and Kα2). Structure: a DFT-relaxed cell (GGA-PBE, OQMD).
No peak broadening, texture or thermal motion is included.

Structure:
Unit cell a=5.8483 b=5.8483 c=34.5636 alpha=90.00 beta=90.00 gamma=120.00
Space group P-3m1 (No. 164)
Asymmetric unit:
Ag 0.0000 0.0000 0.0000 (multiplicity 1)
Ag 0.0000 0.0000 0.2089 (multiplicity 2)
Ag 0.0000 0.5000 0.0000 (multiplicity 3)
Ag 0.0011 0.5005 0.2093 (multiplicity 6)
Ag 0.1663 0.3326 0.1393 (multiplicity 6)
Ag 0.1667 0.3334 0.7208 (multiplicity 6)
Ag 0.1667 0.3334 0.9304 (multiplicity 6)
Ag 0.3333 0.6667 0.0698 (multiplicity 2)
Ag 0.3333 0.6667 0.8603 (multiplicity 2)
Ge 0.3333 0.6667 0.2777 (multiplicity 2)

Principal peaks in the range 10 to 90 degrees two-theta, by angle:
d_spacing	I (rel.)	hkl
2.469	35	0 0 14
2.430	51	2 0 4
2.378	100	2 0 5
2.304	18	0 0 15
2.114	50	0 2 9
2.043	52	0 2 10
1.477	22	2 0 19
1.462	31	2 2 0
1.258	22	2 2 14
1.252	18	0 2 24

No. 3
This entry pairs a crystal structure of Ag7Ge2 with its simulated X-ray diffraction stick pattern. Radiation: Cu Kα (weighted mean of Kα1 and Kα2). Structure: a DFT-relaxed cell (GGA-PBE, OQMD).
No peak broadening, texture or thermal motion is included.

Structure:
Unit cell a=2.9300 b=2.9300 c=34.9568 alpha=90.00 beta=90.00 gamma=120.00
Space group P-3m1 (No. 164)
Asymmetric unit:
Ag 0.0000 0.0000 0.0000 (multiplicity 1)
Ag 0.0000 0.0000 0.2063 (multiplicity 2)
Ag 0.3333 0.6667 0.1369 (multiplicity 2)
Ag 0.3333 0.6667 0.9317 (multiplicity 2)
Ge 0.3333 0.6667 0.7261 (multiplicity 2)

Principal peaks in the range 10 to 90 degrees two-theta, by angle:
d_spacing	I (rel.)	hkl
2.497	26	0 0 14
2.437	45	1 0 4
2.385	100	1 0 5
2.329	43	0 0 15
2.124	40	0 1 9
2.054	60	0 1 10
1.490	17	1 0 19
1.465	32	1 1 0
1.263	28	0 1 24
1.240	21	1 1 15

No. 4
This entry pairs a crystal structure of Ag3Ge11 with its simulated X-ray diffraction stick pattern. Radiation: Cu Kα (weighted mean of Kα1 and Kα2). Structure: a DFT-relaxed cell (GGA-PBE, OQMD).
No peak broadening, texture or thermal motion is included.

Structure:
Unit cell a=13.3754 b=7.8276 c=6.2229 alpha=90.00 beta=115.18 gamma=90.00
Space group Cm (No. 8)
Asymmetric unit:
Ag 0.0000 0.0000 0.0000 (multiplicity 2)
Ag 0.1221 0.5000 0.5333 (multiplicity 2)
Ag 0.3176 0.0000 0.7734 (multiplicity 2)
Ge 0.0032 0.2049 0.4108 (multiplicity 4)
Ge 0.0222 0.5000 0.8149 (multiplicity 2)
Ge 0.1135 0.2930 0.1634 (multiplicity 4)
Ge 0.1146 0.0000 0.7458 (multiplicity 2)
Ge 0.2916 0.5000 0.9929 (multiplicity 2)
Ge 0.3037 0.1866 0.1773 (multiplicity 4)
Ge 0.3224 0.3254 0.6120 (multiplicity 4)

Principal peaks in the range 10 to 90 degrees two-theta, by angle:
d_spacing	I (rel.)	hkl
3.214	100	0 2 1
3.026	53	4 0 0
2.590	32	2 2 1
2.305	58	5 1 -2
2.249	56	1 3 1
2.223	41	3 3 -1
2.017	28	6 0 0
1.977	42	4 2 1
1.932	41	6 2 -1
1.926	31	1 1 -3

No. 5
This entry pairs a crystal structure of Hf3Ag4Ge4 with its simulated X-ray diffraction stick pattern. Radiation: Cu Kα (weighted mean of Kα1 and Kα2). Structure: a DFT-relaxed cell (GGA-PBE, OQMD).
No peak broadening, texture or thermal motion is included.

Structure:
Unit cell a=5.9868 b=5.9868 c=12.2526 alpha=90.00 beta=90.00 gamma=90.00
Space group I-42m (No. 121)
Asymmetric unit:
Hf 0.0000 0.0000 0.0000 (multiplicity 2)
Hf 0.0000 0.5000 0.2500 (multiplicity 4)
Ag 0.1719 0.1719 0.5995 (multiplicity 8)
Ge 0.0000 0.0000 0.2243 (multiplicity 4)
Ge 0.0000 0.5000 0.0000 (multiplicity 4)

Principal peaks in the range 10 to 90 degrees two-theta, by angle:
d_spacing	I (rel.)	hkl
3.483	69	1 1 2
2.993	43	2 0 0
2.616	45	2 1 1
2.268	29	1 0 5
2.239	24	2 1 3
2.141	100	2 0 4
2.117	45	2 2 0
1.970	24	3 0 1
1.741	27	2 2 4
1.345	19	4 0 4

No. 6
This entry pairs a crystal structure of Hf3Ag4Ge4 with its simulated X-ray diffraction stick pattern. Radiation: Cu Kα (weighted mean of Kα1 and Kα2). Structure: a DFT-relaxed cell (GGA-PBE, OQMD).
No peak broadening, texture or thermal motion is included.

Structure:
Unit cell a=6.6819 b=4.0266 c=8.0123 alpha=90.00 beta=91.30 gamma=90.00
Space group Pm (No. 6)
Asymmetric unit:
Hf 0.0000 0.0000 0.0000 (multiplicity 1)
Hf 0.0920 0.5000 0.3709 (multiplicity 1)
Hf 0.5014 0.0000 0.8799 (multiplicity 1)
Ag 0.1710 0.5000 0.7385 (multiplicity 1)
Ag 0.4124 0.0000 0.2610 (multiplicity 1)
Ag 0.6874 0.5000 0.1425 (multiplicity 1)
Ag 0.8844 0.0000 0.6229 (multiplicity 1)
Ge 0.2834 0.5000 0.0567 (multiplicity 1)
Ge 0.3302 0.0000 0.5725 (multiplicity 1)
Ge 0.7705 0.5000 0.8206 (multiplicity 1)
Ge 0.8269 0.0000 0.3071 (multiplicity 1)

Principal peaks in the range 10 to 90 degrees two-theta, by angle:
d_spacing	I (rel.)	hkl
8.010	30	0 0 1
2.629	48	1 1 -2
2.598	40	1 1 2
2.571	100	2 1 0
2.499	28	1 0 -3
2.460	73	1 0 3
2.435	59	2 1 1
2.225	68	0 1 3
2.099	23	1 1 3
2.013	58	0 2 0

No. 7
This entry pairs a crystal structure of Ag4HgGe2S7 with its simulated X-ray diffraction stick pattern. Radiation: Cu Kα (weighted mean of Kα1 and Kα2). Structure: a DFT-relaxed cell (GGA-PBE, OQMD).
No peak broadening, texture or thermal motion is included.

Structure:
Unit cell a=17.7885 b=6.9325 c=10.6417 alpha=90.00 beta=93.08 gamma=90.00
Space group Cc (No. 9)
Asymmetric unit:
Ag 0.0000 0.1257 0.0000 (multiplicity 4)
Ag 0.2207 0.3239 0.0541 (multiplicity 4)
Ag 0.2880 0.1740 0.4386 (multiplicity 4)
Ag 0.4358 0.1868 0.1508 (multiplicity 4)
Hg 0.0734 0.3190 0.3370 (multiplicity 4)
Ge 0.1513 0.1735 0.7226 (multiplicity 4)
Ge 0.3612 0.3274 0.7965 (multiplicity 4)
S 0.0596 0.1949 0.5701 (multiplicity 4)
S 0.1099 0.3202 0.8944 (multiplicity 4)
S 0.1866 0.1350 0.2567 (multiplicity 4)
S 0.2552 0.3317 0.6485 (multiplicity 4)
S 0.3362 0.1700 0.9696 (multiplicity 4)
S 0.3905 0.3677 0.3374 (multiplicity 4)
S 0.4536 0.1802 0.6922 (multiplicity 4)

Principal peaks in the range 10 to 90 degrees two-theta, by angle:
d_spacing	I (rel.)	hkl
3.506	55	3 1 -2
3.466	31	0 2 0
3.321	61	4 0 2
3.132	52	1 1 -3
3.072	100	5 1 -1
2.032	25	6 0 -4
2.009	42	3 3 -2
1.892	22	3 1 5
1.866	21	6 2 3
1.852	23	9 1 1

No. 8
This entry pairs a crystal structure of Ag2HgGeSe3S with its simulated X-ray diffraction stick pattern. Radiation: Cu Kα (weighted mean of Kα1 and Kα2). Structure: a DFT-relaxed cell (GGA-PBE, OQMD).
No peak broadening, texture or thermal motion is included.

Structure:
Unit cell a=8.4141 b=8.4911 c=7.2575 alpha=90.00 beta=124.99 gamma=90.00
Space group Cm (No. 8)
Asymmetric unit:
Ag 0.0000 0.2389 0.0000 (multiplicity 4)
Hg 0.0066 0.5000 0.5097 (multiplicity 2)
Ge 0.0011 0.0000 0.5182 (multiplicity 2)
Se 0.3532 0.0000 0.7599 (multiplicity 2)
Se 0.3827 0.2734 0.2698 (multiplicity 4)
S 0.3958 0.5000 0.7455 (multiplicity 2)

Principal peaks in the range 10 to 90 degrees two-theta, by angle:
d_spacing	I (rel.)	hkl
5.344	11	1 1 0
3.452	100	2 0 0
3.422	37	2 0 -2
2.123	15	0 4 0
2.113	32	2 2 1
2.102	46	2 2 -3
1.804	11	2 4 -2
1.800	16	4 2 -1
1.795	20	0 2 3
1.218	12	4 0 2